# MgMn6O6F6
Theoretical X-ray powder pattern, CuKα. Input: a structure optimized by DFT (PBE+U).
Lines closer than 0.1° are merged.

Peak list (8 most intense, 2θ from 15° to 90°, low angle first)
22.64 deg, rel. 73
26.83 deg, rel. 91
27.24 deg, rel. 100
33.71 deg, rel. 84
34.49 deg, rel. 79
34.91 deg, rel. 58
53.49 deg, rel. 58
59.76 deg, rel. 54

Structural model:
```
data_MgMn6O6F6
_chemical_formula_sum 'Mg1 Mn6 O6 F6'
_space_group_name_H-M_alt 'P 1'
_space_group_IT_number 1
_space_group_name_Hall 'P 1'
_cell_length_a 5.380
_cell_length_b 3.076
_cell_length_c 14.816
_cell_angle_alpha 90.00
_cell_angle_beta 99.57
_cell_angle_gamma 90.00
loop_
_atom_site_label
_atom_site_type_symbol
_atom_site_fract_x
_atom_site_fract_y
_atom_site_fract_z
Mg1 Mg 0.000 0.000 0.000
Mn1 Mn 0.014 0.510 0.344
Mn2 Mn 0.400 0.997 0.208
Mn3 Mn 0.500 0.030 0.500
Mn4 Mn 0.500 0.501 0.000
Mn5 Mn 0.600 0.997 0.792
Mn6 Mn 0.986 0.510 0.656
O1 O 0.114 0.971 0.274
O2 O 0.327 0.530 0.434
O3 O 0.373 0.002 0.068
O4 O 0.627 0.002 0.932
O5 O 0.673 0.530 0.566
O6 O 0.886 0.971 0.726
F1 F 0.105 0.500 0.927
F2 F 0.158 0.050 0.596
F3 F 0.354 0.498 0.752
F4 F 0.646 0.498 0.248
F5 F 0.842 0.050 0.404
F6 F 0.895 0.500 0.073
```